# 1
BaMg14CoO16: simulated X-ray diffraction stick pattern (Cu Ka), based on a crystal structure in the Materials Project, relaxed with GGA+U.
Peak positions follow from Bragg's law for the DFT cell and can differ from measured ones.

Cell lengths 8.776, 8.776, 4.428 Å; angles 90.00, 90.00, 90.00 degrees
Fractional positions:
Ba 0.000 0.000 0.000
Mg 0.000 0.269 0.500
Mg 0.000 0.500 0.000
Mg 0.000 0.731 0.500
Mg 0.254 0.500 0.500
Mg 0.261 0.261 0.000
Mg 0.261 0.739 0.000
Mg 0.269 0.000 0.500
Mg 0.500 0.000 0.000
Mg 0.500 0.254 0.500
Mg 0.500 0.746 0.500
Mg 0.731 0.000 0.500
Mg 0.739 0.261 0.000
Mg 0.739 0.739 0.000
Mg 0.746 0.500 0.500
Co 0.500 0.500 0.000
O 0.000 0.000 0.500
O 0.000 0.280 0.000
O 0.000 0.500 0.500
O 0.000 0.720 0.000
O 0.250 0.250 0.500
O 0.250 0.750 0.500
O 0.251 0.500 0.000
O 0.280 0.000 0.000
O 0.500 0.000 0.500
O 0.500 0.251 0.000
O 0.500 0.500 0.500
O 0.500 0.749 0.000
O 0.720 0.000 0.000
O 0.749 0.500 0.000
O 0.750 0.250 0.500
O 0.750 0.750 0.500

Main lines, sorted by position (15° ≤ 2θ ≤ 90°):
Position (°2θ)  intensity
20.24  22
24.70  24
35.32  41
40.76  54
41.14  100
59.30  60
59.59  28
74.71  26

---

# 2
Ba2MgMo4Se4O22: simulated X-ray diffraction stick pattern (Cu Ka), based on a crystal structure in the Materials Project, relaxed with GGA+U.
Peak positions follow from Bragg's law for the DFT cell and can differ from measured ones.

Cell lengths 9.044, 9.044, 7.975 Å; angles 91.70, 91.70, 124.96 degrees
Fractional positions:
Ba 0.000 0.000 0.000
Ba 0.623 0.623 0.452
Mg 0.348 0.348 0.751
Mo 0.161 0.945 0.494
Mo 0.426 0.642 0.978
Mo 0.642 0.426 0.978
Mo 0.945 0.161 0.494
Se 0.070 0.656 0.832
Se 0.483 0.913 0.328
Se 0.656 0.070 0.832
Se 0.913 0.483 0.328
O 0.127 0.857 0.757
O 0.155 0.971 0.276
O 0.167 0.331 0.585
O 0.244 0.405 0.973
O 0.272 0.740 0.952
O 0.319 0.846 0.474
O 0.331 0.167 0.585
O 0.405 0.244 0.973
O 0.415 0.702 0.243
O 0.480 0.642 0.762
O 0.619 0.619 0.075
O 0.642 0.480 0.762
O 0.646 0.939 0.993
O 0.652 0.943 0.464
O 0.702 0.415 0.243
O 0.740 0.272 0.952
O 0.846 0.319 0.474
O 0.857 0.127 0.757
O 0.939 0.646 0.993
O 0.943 0.652 0.464
O 0.948 0.948 0.544
O 0.971 0.155 0.276

Main lines, sorted by position (15° ≤ 2θ ≤ 90°):
Position (°2θ)  intensity
21.31  42
22.34  100
23.03  59
23.44  49
24.75  36
24.98  50
31.68  67
32.18  63